Diffraction record for Rb2PaMn2O6. The PXRD pattern is theoretical, not measured: it uses a structure optimized by DFT (PBE+U) and Cu Kα X-rays.
Lines closer than 0.1° are merged.

Principal peaks in the range 10 to 90 degrees two-theta, sorted by position:
2θ/deg, d [Å], I (rel.)
17.06, 5.198, 66
28.30, 3.154, 92
28.46, 3.136, 45
29.04, 3.075, 43
29.63, 3.015, 100
41.11, 2.195, 34

Atomic structure:
```
data_Rb2PaMn2O6
_chemical_formula_sum 'Rb2 Pa1 Mn2 O6'
_symmetry_space_group_name_H-M 'P 1'
_symmetry_Int_Tables_number 1
_symmetry_space_group_name_Hall 'P 1'
_cell_length_a 6.315
_cell_length_b 6.315
_cell_length_c 7.040
_cell_angle_alpha 114.97
_cell_angle_beta 114.97
_cell_angle_gamma 58.28
loop_
_atom_site_label
_atom_site_type_symbol
_atom_site_fract_x
_atom_site_fract_y
_atom_site_fract_z
Rb1 Rb 0.210 0.210 0.126
Rb2 Rb 0.790 0.790 0.874
Pa1 Pa 0.000 0.000 0.500
Mn1 Mn 0.409 0.409 0.713
Mn2 Mn 0.591 0.591 0.287
O1 O 0.226 0.226 0.674
O2 O 0.232 0.742 0.266
O3 O 0.258 0.768 0.734
O4 O 0.742 0.232 0.266
O5 O 0.768 0.258 0.734
O6 O 0.774 0.774 0.326
```